Entry 1:
This entry pairs a crystal structure of Co7SnN6 with its theoretical powder XRD pattern. Radiation: copper Kα. Structure: a structure optimized by DFT (PBE).
Kinematic intensities with the Lorentz-polarization factor, no thermal factor.

Structure:
Unit cell a=9.795 b=5.870 c=10.444 alpha=90.00 beta=90.00 gamma=90.00
Space group Pbcn (No. 60)
Asymmetric unit:
Co 0.000 0.048 0.250
Co 0.003 0.214 0.510
Co 0.209 0.008 0.923
Co 0.247 0.246 0.644
Sn 0.000 0.407 0.750
N 0.063 0.285 0.143
N 0.176 0.283 0.482
N 0.205 0.003 0.751

Largest 8 diffraction maxima, low angle first, 2θ from 10° to 90°:
2θ 24.56, d 3.625, I 19.6, (1 1 2); 2θ 35.59, d 2.523, I 22.0, (1 0 4); 2θ 36.29, d 2.475, I 60.9, (1 2 2); 2θ 36.71, d 2.448, I 100.0, (4 0 0); 2θ 39.10, d 2.304, I 78.8, (2 0 4); 2θ 39.75, d 2.268, I 64.0, (2 2 2); 2θ 44.41, d 2.040, I 20.9, (2 2 3); 2θ 61.99, d 1.497, I 23.7, (0 2 6)

Entry 2:
This entry pairs a crystal structure of Sr7CoN6 with its theoretical powder XRD pattern. Radiation: copper Kα. Structure: a structure optimized by DFT (PBE).
Kinematic intensities with the Lorentz-polarization factor, no thermal factor.

Structure:
Unit cell a=11.795 b=6.681 c=13.735 alpha=90.00 beta=90.00 gamma=90.00
Space group Pbcn (No. 60)
Asymmetric unit:
Sr 0.000 0.060 0.250
Sr 0.039 0.236 0.521
Sr 0.204 0.386 0.129
Sr 0.218 0.362 0.877
Co 0.000 0.428 0.750
N 0.039 0.411 0.353
N 0.120 0.268 0.711
N 0.166 0.091 0.001

Largest 8 diffraction maxima, low angle first, 2θ from 10° to 90°:
2θ 28.52, d 3.130, I 34.8, (1 2 1); 2θ 29.74, d 3.004, I 19.0, (0 2 2); 2θ 30.12, d 2.967, I 100.0, (2 0 4); 2θ 30.29, d 2.951, I 37.8, (4 0 0); 2θ 33.48, d 2.677, I 31.6, (2 2 2); 2θ 33.86, d 2.647, I 44.6, (4 1 1); 2θ 34.08, d 2.631, I 28.7, (1 2 3); 2θ 40.55, d 2.225, I 19.0, (3 2 3)

Entry 3:
This entry pairs a crystal structure of Sr5Co2N6 with its theoretical powder XRD pattern. Radiation: copper Kα. Structure: a structure optimized by DFT (PBE).
Kinematic intensities with the Lorentz-polarization factor, no thermal factor.

Structure:
Unit cell a=10.261 b=6.626 c=13.263 alpha=90.00 beta=101.87 gamma=90.00
Space group C2/c (No. 15)
Asymmetric unit:
Sr 0.000 0.121 0.250
Sr 0.065 0.237 0.997
Sr 0.159 0.407 0.719
Co 0.229 0.378 0.434
N 0.061 0.451 0.373
N 0.149 0.043 0.642
N 0.218 0.064 0.433

Largest 8 diffraction maxima, low angle first, 2θ from 10° to 90°:
2θ 27.50, d 3.244, I 58.9, (0 0 4); 2θ 27.79, d 3.210, I 32.3, (0 2 1); 2θ 29.91, d 2.988, I 31.6, (3 1 0); 2θ 30.30, d 2.950, I 65.0, (0 2 2); 2θ 30.56, d 2.925, I 29.2, (3 1 -2); 2θ 31.95, d 2.801, I 100.0, (3 1 1); 2θ 33.17, d 2.701, I 91.8, (3 1 -3); 2θ 34.08, d 2.630, I 66.9, (0 2 3)

Entry 4:
This entry pairs a crystal structure of SrCo7N10 with its theoretical powder XRD pattern. Radiation: copper Kα. Structure: a structure optimized by DFT (PBE).
Kinematic intensities with the Lorentz-polarization factor, no thermal factor.

Structure:
Unit cell a=6.985 b=7.165 c=9.666 alpha=90.00 beta=107.25 gamma=90.00
Space group Pc (No. 7)
Asymmetric unit:
Sr 0.000 0.014 0.000
Co 0.193 0.378 0.422
Co 0.378 0.365 0.730
Co 0.455 0.032 0.369
Co 0.572 0.366 0.036
Co 0.635 0.029 0.683
Co 0.750 0.373 0.342
Co 0.938 0.368 0.664
N 0.174 0.440 0.790
N 0.243 0.158 0.367
N 0.389 0.480 0.567
N 0.404 0.122 0.711
N 0.567 0.110 0.024
N 0.596 0.441 0.866
N 0.671 0.139 0.333
N 0.795 0.429 0.171
N 0.862 0.147 0.708
N 0.980 0.379 0.489

Largest 8 diffraction maxima, low angle first, 2θ from 10° to 90°:
2θ 18.62, d 4.764, I 34.2, (1 1 -1); 2θ 24.85, d 3.583, I 34.3, (0 2 0); 2θ 28.53, d 3.128, I 100.0, (1 2 -1); 2θ 29.37, d 3.041, I 30.6, (1 1 2); 2θ 30.68, d 2.914, I 37.8, (2 1 -2); 2θ 31.64, d 2.827, I 47.4, (0 1 3); 2θ 37.66, d 2.388, I 48.8, (0 3 0); 2θ 39.41, d 2.287, I 63.8, (1 1 -4)

Entry 5:
This entry pairs a crystal structure of SrCo2N2 with its theoretical powder XRD pattern. Radiation: copper Kα. Structure: a structure optimized by DFT (PBE).
Kinematic intensities with the Lorentz-polarization factor, no thermal factor.

Structure:
Unit cell a=3.3500 b=3.3500 c=6.1747 alpha=90.00 beta=90.00 gamma=120.00
Space group P-3m1 (No. 164)
Asymmetric unit:
Sr 0.0000 0.0000 0.0000
Co 0.3333 0.6667 0.3810
N 0.3333 0.6667 0.6952

Largest 8 diffraction maxima, low angle first, 2θ from 10° to 90°:
2θ 34.15, d 2.626, I 100.0, (0 1 1); 2θ 42.77, d 2.114, I 42.0, (1 0 2); 2θ 43.99, d 2.058, I 12.9, (0 0 3); 2θ 54.68, d 1.679, I 11.7, (0 1 3); 2θ 54.81, d 1.675, I 30.8, (1 1 0); 2θ 66.18, d 1.412, I 13.7, (2 0 1); 2θ 68.90, d 1.363, I 12.7, (1 0 4); 2θ 72.80, d 1.299, I 15.5, (1 1 3)

Entry 6:
This entry pairs a crystal structure of Sr2CoN2 with its theoretical powder XRD pattern. Radiation: copper Kα. Structure: a structure optimized by DFT (PBE).
Kinematic intensities with the Lorentz-polarization factor, no thermal factor.

Structure:
Unit cell a=3.862 b=3.862 c=12.380 alpha=90.00 beta=90.00 gamma=90.00
Space group I4/mmm (No. 139)
Asymmetric unit:
Sr 0.000 0.000 0.144
Co 0.000 0.000 0.500
N 0.000 0.000 0.361

Largest 8 diffraction maxima, low angle first, 2θ from 10° to 90°:
2θ 28.85, d 3.095, I 11.8, (0 0 4); 2θ 31.73, d 2.820, I 100.0, (1 0 3); 2θ 32.80, d 2.731, I 82.2, (1 1 0); 2θ 44.23, d 2.048, I 13.8, (1 1 4); 2θ 47.06, d 1.931, I 28.3, (2 0 0); 2θ 55.85, d 1.646, I 17.6, (1 1 6); 2θ 57.88, d 1.593, I 36.3, (2 1 3); 2θ 78.28, d 1.221, I 11.8, (3 1 0)

Entry 7:
This entry pairs a crystal structure of TaCo2N3 with its theoretical powder XRD pattern. Radiation: copper Kα. Structure: a structure optimized by DFT (PBE).
Kinematic intensities with the Lorentz-polarization factor, no thermal factor.

Structure:
Unit cell a=5.573 b=11.061 c=8.024 alpha=90.00 beta=91.43 gamma=90.00
Space group C2/c (No. 15)
Asymmetric unit:
Ta 0.192 0.034 0.132
Co 0.140 0.293 0.610
Co 0.164 0.305 0.143
N 0.000 0.168 0.250
N 0.000 0.408 0.750
N 0.151 0.053 0.889
N 0.168 0.351 0.395

Largest 8 diffraction maxima, low angle first, 2θ from 10° to 90°:
2θ 28.27, d 3.157, I 78.9, (1 1 -2); 2θ 28.90, d 3.089, I 80.2, (1 1 2); 2θ 29.04, d 3.075, I 59.5, (1 3 0); 2θ 32.13, d 2.785, I 53.5, (2 0 0); 2θ 36.58, d 2.457, I 100.0, (1 3 -2); 2θ 37.09, d 2.424, I 91.3, (1 3 2); 2θ 38.90, d 2.315, I 46.8, (2 0 -2); 2θ 45.22, d 2.005, I 63.5, (0 0 4)